# 1
Li2AcSmSn2: simulated powder diffraction line list (Cu Kα (λ = 1.5418 Å)), based on DFT lattice parameters and positions (PBE).
Lines closer than 0.1° are merged.

Principal peaks in the range 10° ≤ 2θ ≤ 80°, low angle first:
Position (°2θ), I (rel.), index
21.23, 30.7, 1 0 0
24.00, 36.8, 0 1 1
30.93, 100.0, 1 0 2
37.22, 49.0, 1 1 0
49.15, 28.2, 0 2 2
60.07, 21.4, 1 1 4
63.23, 26.8, 2 1 2
74.75, 9.5, 1 0 6

Structural model:
```
data_Li2AcSmSn2
_chemical_formula_sum 'Li2 Ac1 Sm1 Sn2'
_symmetry_space_group_name_H-M 'P -3 m 1'
_symmetry_Int_Tables_number 164
_symmetry_space_group_name_Hall '-P 3 2"'
_cell_length_a 4.8317
_cell_length_b 4.8317
_cell_length_c 7.9966
_cell_angle_alpha 90.00
_cell_angle_beta 90.00
_cell_angle_gamma 120.00
loop_
_atom_site_label
_atom_site_fract_x
_atom_site_fract_y
_atom_site_fract_z
Li1 0.3333 0.6667 0.1945
Ac1 0.0000 0.0000 0.5000
Sm1 0.0000 0.0000 0.0000
Sn1 0.3333 0.6667 0.7725
```

***

# 2
Pr4Tl3Pb: simulated powder diffraction line list (Cu Kα (λ = 1.5418 Å)), based on DFT lattice parameters and positions (PBE).
Lines closer than 0.1° are merged.

Principal peaks in the range 10° ≤ 2θ ≤ 80°, low angle first:
Position (°2θ), I (rel.), index
31.45, 100.0, 1 1 2
34.39, 39.5, 0 2 0
40.35, 12.8, 2 0 0
49.43, 14.3, 0 2 4
54.04, 22.1, 2 2 0
59.77, 32.5, 1 3 2
65.64, 12.3, 2 2 4
67.83, 11.2, 3 1 2

Structural model:
```
data_Pr4Tl3Pb
_chemical_formula_sum 'Pr4 Tl3 Pb1'
_symmetry_space_group_name_H-M 'P m m m'
_symmetry_Int_Tables_number 47
_cell_length_a 4.4705
_cell_length_b 5.2137
_cell_length_c 10.4332
_cell_angle_alpha 90.00
_cell_angle_beta 90.00
_cell_angle_gamma 90.00
loop_
_symmetry_equiv_pos_as_xyz
'x,y,z'
'-x,-y,-z'
'-x,-y,z'
'x,y,-z'
'x,-y,-z'
'-x,y,z'
'-x,y,-z'
'x,-y,z'
loop_
_atom_site_label
_atom_site_fract_x
_atom_site_fract_y
_atom_site_fract_z
Pr1 0.0000 0.0000 0.0000
Pr2 0.0000 0.0000 0.5000
Pr3 0.0000 0.5000 0.2503
Tl1 0.5000 0.0000 0.2449
Tl2 0.5000 0.5000 0.0000
Pb1 0.5000 0.5000 0.5000
```

***

# 3
Ti2FeIr2: simulated powder diffraction line list (Cu Kα (λ = 1.5418 Å)), based on DFT lattice parameters and positions (PBE).
Lines closer than 0.1° are merged.

Principal peaks in the range 10° ≤ 2θ ≤ 80°, low angle first:
Position (°2θ), I (rel.), index
17.37, 27.2, 1 1 0
27.63, 51.8, 2 1 0
30.45, 26.7, 0 0 1
39.47, 46.0, 3 1 0
41.58, 100.0, 2 1 1
50.62, 36.1, 4 0 0
55.55, 13.5, 3 2 1
78.41, 21.8, 5 2 1

Structural model:
```
data_Ti2FeIr2
_chemical_formula_sum 'Ti4 Fe2 Ir4'
_symmetry_space_group_name_H-M 'P 4/m b m'
_symmetry_Int_Tables_number 127
_symmetry_space_group_name_Hall '-P 4 2ab'
_cell_length_a 7.2202
_cell_length_b 7.2202
_cell_length_c 2.9357
_cell_angle_alpha 90.00
_cell_angle_beta 90.00
_cell_angle_gamma 90.00
loop_
_atom_site_label
_atom_site_fract_x
_atom_site_fract_y
_atom_site_fract_z
Ti1 0.1635 0.3365 0.0000
Fe1 0.0000 0.0000 0.5000
Ir1 0.1378 0.6378 0.5000
```

***

# 4
Pm3Zn6Ga5: simulated powder diffraction line list (Cu Kα (λ = 1.5418 Å)), based on DFT lattice parameters and positions (PBE).
Lines closer than 0.1° are merged.

Principal peaks in the range 10° ≤ 2θ ≤ 80°, low angle first:
Position (°2θ), I (rel.), index
29.49, 15.2, 1 3 0
34.62, 26.9, 1 0 3
34.78, 21.5, 0 3 3
34.89, 100.0, 1 3 2
37.45, 13.4, 1 2 3
41.91, 31.5, 2 0 0
42.47, 21.5, 0 6 0
61.20, 14.1, 2 6 0

Structural model:
```
data_Pm3Zn6Ga5
_chemical_formula_sum 'Pm6 Zn12 Ga10'
_symmetry_space_group_name_H-M 'P m m n'
_symmetry_Int_Tables_number 59
_cell_length_a 4.3112
_cell_length_b 12.7711
_cell_length_c 9.7272
_cell_angle_alpha 90.00
_cell_angle_beta 90.00
_cell_angle_gamma 90.00
loop_
_symmetry_equiv_pos_as_xyz
'x,y,z'
'-x,-y,-z'
'-x+1/2,-y+1/2,z'
'x+1/2,y+1/2,-z'
'x+1/2,-y,-z'
'-x+1/2,y,z'
'-x,y+1/2,-z'
'x,-y+1/2,z'
loop_
_atom_site_label
_atom_site_fract_x
_atom_site_fract_y
_atom_site_fract_z
Pm1 0.2500 0.0630 0.2476
Pm2 0.2500 0.7500 0.2507
Zn1 0.2500 0.0862 0.6146
Zn2 0.2500 0.2500 0.0350
Zn3 0.2500 0.2500 0.4606
Zn4 0.2500 0.6013 0.9815
Ga1 0.2500 0.0910 0.8741
Ga2 0.2500 0.6116 0.5260
Ga3 0.2500 0.7500 0.7695
```

***

# 5
Zn3Ni8: simulated powder diffraction line list (Cu Kα (λ = 1.5418 Å)), based on DFT lattice parameters and positions (PBE).
Lines closer than 0.1° are merged.

Principal peaks in the range 10° ≤ 2θ ≤ 80°, low angle first:
Position (°2θ), I (rel.), index
21.74, 33.4, 1 1 0
33.66, 87.3, 2 0 2
35.33, 54.6, 3 -1 1
40.43, 69.6, 3 -2 2
46.78, 62.3, 1 0 4
47.66, 100.0, 4 -3 1
51.49, 28.2, 3 0 3
56.53, 66.9, 2 2 3

Structural model:
```
data_Zn3Ni8
_chemical_formula_sum 'Zn9 Ni24'
_symmetry_space_group_name_H-M 'R -3'
_symmetry_Int_Tables_number 148
_symmetry_space_group_name_Hall '-R 3'
_cell_length_a 8.1761
_cell_length_b 8.1761
_cell_length_c 8.0778
_cell_angle_alpha 90.00
_cell_angle_beta 90.00
_cell_angle_gamma 120.00
loop_
_atom_site_label
_atom_site_fract_x
_atom_site_fract_y
_atom_site_fract_z
Zn1 0.0000 0.5000 0.0000
Ni1 0.0000 0.0000 0.3621
Ni2 0.0592 0.1929 0.8816
```

***

# 6
Tl2SbSeF3: simulated powder diffraction line list (Cu Kα (λ = 1.5418 Å)), based on DFT lattice parameters and positions (PBE).
Lines closer than 0.1° are merged.

Principal peaks in the range 10° ≤ 2θ ≤ 80°, low angle first:
Position (°2θ), I (rel.), index
24.27, 78.6, 0 1 3
25.18, 89.8, 1 1 0
27.09, 100.0, 1 0 3
31.50, 52.6, 0 2 0
35.58, 30.5, 1 1 4
37.45, 29.0, 0 0 6
42.02, 63.5, 1 2 3
45.67, 30.7, 1 1 6

Structural model:
```
data_Tl2SbSeF3
_chemical_formula_sum 'Tl4 Sb2 Se2 F6'
_symmetry_space_group_name_H-M 'I m m m'
_symmetry_Int_Tables_number 71
_symmetry_space_group_name_Hall '-I 2 2'
_cell_length_a 4.5188
_cell_length_b 5.6802
_cell_length_c 14.4085
_cell_angle_alpha 90.00
_cell_angle_beta 90.00
_cell_angle_gamma 90.00
loop_
_atom_site_label
_atom_site_fract_x
_atom_site_fract_y
_atom_site_fract_z
Tl1 0.0000 0.0000 0.1558
Sb1 0.0000 0.0000 0.5000
Se1 0.0000 0.5000 0.5000
F1 0.0000 0.0000 0.3496
F2 0.0000 0.5000 0.0000
```

***

# 7
CaDy2Te4: simulated powder diffraction line list (Cu Kα (λ = 1.5418 Å)), based on DFT lattice parameters and positions (PBE).
Lines closer than 0.1° are merged.

Principal peaks in the range 10° ≤ 2θ ≤ 80°, low angle first:
Position (°2θ), I (rel.), index
12.25, 42.5, 0 1 1
28.36, 100.0, 2 2 0
28.96, 47.4, 0 0 4
40.28, 19.2, 0 4 0
40.98, 73.4, 2 2 4
50.37, 20.0, 0 4 4
50.80, 19.5, 4 0 4
66.76, 25.3, 6 2 0

Structural model:
```
data_CaDy2Te4
_chemical_formula_sum 'Ca4 Dy8 Te16'
_symmetry_space_group_name_H-M 'I m m a'
_symmetry_Int_Tables_number 74
_symmetry_space_group_name_Hall '-I 2b 2'
_cell_length_a 8.8468
_cell_length_b 8.9556
_cell_length_c 12.3326
_cell_angle_alpha 90.00
_cell_angle_beta 90.00
_cell_angle_gamma 90.00
loop_
_atom_site_label
_atom_site_fract_x
_atom_site_fract_y
_atom_site_fract_z
Ca1 0.0000 0.0000 0.0000
Dy1 0.0000 0.0000 0.5000
Dy2 0.2500 0.2500 0.2500
Te1 0.0000 0.0077 0.2532
Te2 0.2433 0.2500 0.5035
```

***

# 8
HoAl11Cr: simulated powder diffraction line list (Cu Kα (λ = 1.5418 Å)), based on DFT lattice parameters and positions (PBE).
Lines closer than 0.1° are merged.

Principal peaks in the range 10° ≤ 2θ ≤ 80°, low angle first:
Position (°2θ), I (rel.), index
13.92, 59.0, 0 2 0
19.70, 54.5, 1 1 -1
28.04, 41.4, 1 3 -1
33.88, 44.4, 1 3 1
39.09, 38.9, 1 1 -3
39.33, 63.7, 0 4 2
39.66, 49.1, 2 2 0
40.03, 100.0, 2 2 -2

Structural model:
```
data_HoAl11Cr
_chemical_formula_sum 'Ho2 Al22 Cr2'
_symmetry_space_group_name_H-M 'C 1 2/m 1'
_symmetry_Int_Tables_number 12
_cell_length_a 5.2047
_cell_length_b 12.7203
_cell_length_c 7.0672
_cell_angle_alpha 90.00
_cell_angle_beta 110.79
_cell_angle_gamma 90.00
loop_
_symmetry_equiv_pos_as_xyz
'x,y,z'
'-x,-y,-z'
'-x,y,-z'
'x,-y,z'
'x+1/2,y+1/2,z'
'-x+1/2,-y+1/2,-z'
'-x+1/2,y+1/2,-z'
'x+1/2,-y+1/2,z'
loop_
_atom_site_label
_atom_site_fract_x
_atom_site_fract_y
_atom_site_fract_z
Ho1 0.0000 0.0000 0.0000
Al1 0.0000 0.0000 0.5000
Al2 0.1054 0.3933 0.2230
Al3 0.1979 0.1720 0.3618
Al4 0.2500 0.2500 0.0000
Cr1 0.0000 0.5000 0.5000
```